Structure and theoretical powder diffractogram of KLaMg14 (a PBE-relaxed structure; Cu Kα (weighted mean of Kα1 and Kα2)).
No peak broadening, texture or thermal motion is included.

Cell and atoms:
```
data_KLaMg14
_chemical_formula_sum 'K1 La1 Mg14'
_cell_length_a 6.7803
_cell_length_b 6.7803
_cell_length_c 10.4900
_cell_angle_alpha 90.00
_cell_angle_beta 90.00
_cell_angle_gamma 120.00
_symmetry_space_group_name_H-M 'P -6 m 2'
_symmetry_Int_Tables_number 187
_symmetry_space_group_name_Hall 'P -6 2'
loop_
_atom_site_label
_atom_site_type_symbol
_atom_site_fract_x
_atom_site_fract_y
_atom_site_fract_z
K1 K 0.0000 0.0000 0.0000
La1 La 0.0000 0.0000 0.5000
Mg1 Mg 0.0038 0.5019 0.0000
Mg2 Mg 0.0067 0.5033 0.5000
Mg3 Mg 0.1732 0.3464 0.2522
Mg4 Mg 0.6667 0.3333 0.2515
```

The 10 most intense peaks (10 to 80 degrees two-theta), in order of rising 2θ:
2θ (°)	intensity
15.1	25
17.3	23
22.7	25
30.4	28
34.2	23
35.0	100
46.4	18
54.1	23
61.8	18
65.6	19